# 1
Theoretical XRD peak list
Compound: Pr2Nd2C2Cl5
Radiation: Cu Kα, 1.54184 Å
Structure: a crystal structure in OQMD, relaxed with GGA-PBE
Lines closer than 0.1° are merged.

Most intense lines, 2θ from 10° to 90°, most intense first:
(1 2 1), 32.69°, d 2.739, I = 1000
(0 0 6), 30.52°, d 2.929, I = 659
(1 0 3), 27.42°, d 3.253, I = 611
(1 2 5), 41.47°, d 2.177, I = 570
(0 1 1), 12.33°, d 7.180, I = 526
(0 3 3), 37.58°, d 2.393, I = 325

Atomic structure:
```
data_Pr2Nd2C2Cl5
_chemical_formula_sum 'Pr4 Nd4 C4 Cl10'
_symmetry_space_group_name_H-M 'I m m m'
_symmetry_Int_Tables_number 71
_symmetry_space_group_name_Hall '-I 2 2'
_cell_length_a 3.9113
_cell_length_b 7.8667
_cell_length_c 17.5711
_cell_angle_alpha 90.00
_cell_angle_beta 90.00
_cell_angle_gamma 90.00
loop_
_atom_site_label
_atom_site_fract_x
_atom_site_fract_y
_atom_site_fract_z
Pr1 0.0000 0.2133 0.0000
Nd1 0.0000 0.5000 0.3315
C1 0.0000 0.5000 0.4598
Cl1 0.0000 0.0000 0.5000
Cl2 0.0000 0.2686 0.1676
```


# 2
Theoretical XRD peak list
Compound: Mg4Hg3
Radiation: Cu Kα, 1.54184 Å
Structure: a crystal structure in OQMD, relaxed with GGA-PBE
Lines closer than 0.1° are merged.

Most intense lines, 2θ from 10° to 90°, most intense first:
(2 1 1), 37.67°, d 2.388, I = 1000
(1 0 0), 12.47°, d 7.098, I = 607
(1 1 1), 27.64°, d 3.227, I = 465
(0 0 2), 34.24°, d 2.619, I = 295
(2 0 1), 30.42°, d 2.938, I = 264
(2 1 0), 33.40°, d 2.683, I = 220

Atomic structure:
```
data_Mg4Hg3
_chemical_formula_sum 'Mg8 Hg6'
_symmetry_space_group_name_H-M 'P 63/m'
_symmetry_Int_Tables_number 176
_symmetry_space_group_name_Hall '-P 6c'
_cell_length_a 8.1964
_cell_length_b 8.1964
_cell_length_c 5.2370
_cell_angle_alpha 90.00
_cell_angle_beta 90.00
_cell_angle_gamma 120.00
loop_
_atom_site_label
_atom_site_fract_x
_atom_site_fract_y
_atom_site_fract_z
Mg1 0.0998 0.4603 0.2500
Mg2 0.3333 0.6667 0.7500
Hg1 0.0563 0.2664 0.7500
```


# 3
Theoretical XRD peak list
Compound: NaNb10O18
Radiation: Cu Kα, 1.54184 Å
Structure: a crystal structure in OQMD, relaxed with GGA-PBE
Lines closer than 0.1° are merged.

Most intense lines, 2θ from 10° to 90°, most intense first:
(1 2 1), 25.86°, d 3.445, I = 1000
(1 3 -4), 45.52°, d 1.993, I = 903
(2 1 -3), 31.23°, d 2.864, I = 704
(1 1 -4), 36.00°, d 2.495, I = 677
(1 1 -1), 15.51°, d 5.715, I = 676
(0 1 1), 13.14°, d 6.738, I = 530

Atomic structure:
```
data_NaNb10O18
_chemical_formula_sum 'Na2 Nb20 O36'
_symmetry_space_group_name_H-M 'P 1 21/c 1'
_symmetry_Int_Tables_number 14
_cell_length_a 7.8851
_cell_length_b 9.3656
_cell_length_c 10.3473
_cell_angle_alpha 90.00
_cell_angle_beta 110.37
_cell_angle_gamma 90.00
loop_
_symmetry_equiv_pos_as_xyz
'x,y,z'
'-x,-y,-z'
'-x,y+1/2,-z+1/2'
'x,-y+1/2,z+1/2'
loop_
_atom_site_label
_atom_site_fract_x
_atom_site_fract_y
_atom_site_fract_z
Na1 0.0000 0.0000 0.0000
Nb1 0.0039 0.1168 0.6685
Nb2 0.1820 0.6305 0.1232
Nb3 0.1966 0.1272 0.4800
Nb4 0.3965 0.1136 0.2707
Nb5 0.3980 0.6288 0.4379
O1 0.0083 0.2373 0.8486
O2 0.1960 0.7455 0.4607
O3 0.1972 0.0050 0.3010
O4 0.2009 0.2450 0.1444
O5 0.2013 0.5100 0.3039
O6 0.3933 0.0054 0.0992
O7 0.4008 0.5019 0.1053
O8 0.4116 0.7403 0.2731
O9 0.4144 0.2463 0.4313
```


# 4
Theoretical XRD peak list
Compound: MgCu2SiSeS3
Radiation: Cu Kα, 1.54184 Å
Structure: a crystal structure in OQMD, relaxed with GGA-PBE
Lines closer than 0.1° are merged.

Most intense lines, 2θ from 10° to 90°, most intense first:
(2 0 -2), 28.72°, d 3.108, I = 1000
(2 0 0), 28.42°, d 3.141, I = 291
(2 2 1), 47.82°, d 1.902, I = 281
(2 2 -3), 48.30°, d 1.884, I = 268
(2 4 -2), 56.00°, d 1.642, I = 151
(4 0 -2), 46.73°, d 1.944, I = 145

Atomic structure:
```
data_MgCu2SiSeS3
_chemical_formula_sum 'Mg2 Cu4 Si2 Se2 S6'
_symmetry_space_group_name_H-M 'C 1 m 1'
_symmetry_Int_Tables_number 8
_cell_length_a 7.7760
_cell_length_b 7.7402
_cell_length_c 6.4782
_cell_angle_alpha 90.00
_cell_angle_beta 126.12
_cell_angle_gamma 90.00
loop_
_symmetry_equiv_pos_as_xyz
'x,y,z'
'x,-y,z'
'x+1/2,y+1/2,z'
'x+1/2,-y+1/2,z'
loop_
_atom_site_label
_atom_site_fract_x
_atom_site_fract_y
_atom_site_fract_z
Mg1 0.0000 0.0000 0.0000
Cu1 0.0046 0.2626 0.5246
Si1 0.4878 0.0000 0.0065
Se1 0.3535 0.5000 0.2690
S1 0.3682 0.2239 0.7588
S2 0.3923 0.0000 0.2591
```


# 5
Theoretical XRD peak list
Compound: Tl3Ag3Bi2
Radiation: Cu Kα, 1.54184 Å
Structure: a crystal structure in OQMD, relaxed with GGA-PBE
Lines closer than 0.1° are merged.

Most intense lines, 2θ from 10° to 90°, most intense first:
(1 0 7), 32.81°, d 2.730, I = 1000
(1 1 0), 30.82°, d 2.902, I = 836
(2 1 7), 56.07°, d 1.640, I = 444
(1 1 6), 39.08°, d 2.305, I = 335
(1 1 3), 33.05°, d 2.710, I = 333
(0 2 4), 39.19°, d 2.299, I = 304

Atomic structure:
```
data_Tl3Ag3Bi2
_chemical_formula_sum 'Tl9 Ag9 Bi6'
_symmetry_space_group_name_H-M 'R -3 m'
_symmetry_Int_Tables_number 166
_symmetry_space_group_name_Hall '-R 3 2"'
_cell_length_a 5.8031
_cell_length_b 5.8031
_cell_length_c 22.7614
_cell_angle_alpha 90.00
_cell_angle_beta 90.00
_cell_angle_gamma 120.00
loop_
_atom_site_label
_atom_site_fract_x
_atom_site_fract_y
_atom_site_fract_z
Tl1 0.0000 0.0000 0.0000
Tl2 0.0000 0.0000 0.4241
Ag1 0.0000 0.5000 0.5000
Bi1 0.0000 0.0000 0.2741
```


# 6
Theoretical XRD peak list
Compound: ErGa2FePd4
Radiation: Cu Kα, 1.54184 Å
Structure: a crystal structure in OQMD, relaxed with GGA-PBE
Lines closer than 0.1° are merged.

Most intense lines, 2θ from 10° to 90°, most intense first:
(1 1 2), 39.84°, d 2.262, I = 1000
(2 0 0), 41.43°, d 2.179, I = 470
(3 1 2), 74.50°, d 1.274, I = 306
(2 2 0), 60.04°, d 1.541, I = 154
(2 0 4), 71.25°, d 1.323, I = 148
(2 2 4), 85.92°, d 1.131, I = 91

Atomic structure:
```
data_ErGa2FePd4
_chemical_formula_sum 'Er1 Ga2 Fe1 Pd4'
_symmetry_space_group_name_H-M 'P 4/m m m'
_symmetry_Int_Tables_number 123
_symmetry_space_group_name_Hall '-P 4 2'
_cell_length_a 4.3586
_cell_length_b 4.3586
_cell_length_c 6.6634
_cell_angle_alpha 90.00
_cell_angle_beta 90.00
_cell_angle_gamma 90.00
loop_
_atom_site_label
_atom_site_fract_x
_atom_site_fract_y
_atom_site_fract_z
Er1 0.0000 0.0000 0.0000
Ga1 0.0000 0.0000 0.5000
Ga2 0.5000 0.5000 0.0000
Fe1 0.5000 0.5000 0.5000
Pd1 0.0000 0.5000 0.2743
```